LaCe2N4: computed powder diffraction line list (λ = 1.5418 Å (Cu Kα)), based on the PBE geometry in Alexandria.

Structure:
```
LaCe2N4
1.0
-3.566 3.566 5.004
3.566 -3.566 5.004
3.566 3.566 -5.004
La Ce N
2 4 8
direct
0.375 0.625 0.750
0.625 0.375 0.250
0.000 0.000 0.000
0.000 0.000 0.500
0.000 0.500 0.000
0.500 0.000 0.500
0.205 0.235 0.970
0.235 0.205 0.470
0.235 0.765 0.030
0.235 0.765 0.470
0.765 0.235 0.530
0.765 0.235 0.970
0.765 0.795 0.530
0.795 0.765 0.030
```

Peak list (10 most intense, 2θ from 5° to 70°, by angle)
2θ (°), Rel. int.
24.97, 13
25.07, 27
29.39, 100
29.56, 49
30.79, 41
46.81, 32
47.16, 16
51.23, 20
51.45, 40
60.97, 14

=====

LaMg4Cd4: computed powder diffraction line list (λ = 1.5418 Å (Cu Kα)), based on the PBE geometry in Alexandria.

Structure:
```
LaMg4Cd4
1.0
6.680 0.000 0.000
0.000 6.680 0.000
0.000 0.000 9.986
La Mg Cd
2 8 8
direct
0.250 0.750 0.250
0.750 0.250 0.750
0.027 0.250 0.167
0.250 0.027 0.667
0.250 0.473 0.667
0.473 0.250 0.167
0.527 0.750 0.833
0.750 0.527 0.333
0.750 0.973 0.333
0.973 0.750 0.833
0.027 0.250 0.460
0.250 0.027 0.960
0.250 0.473 0.960
0.473 0.250 0.460
0.527 0.750 0.540
0.750 0.527 0.040
0.750 0.973 0.040
0.973 0.750 0.540
```

Peak list (10 most intense, 2θ from 5° to 70°, by angle)
2θ (°), Rel. int.
17.76, 23
25.97, 32
28.17, 100
29.99, 42
31.25, 65
38.15, 78
38.50, 23
42.34, 49
54.98, 21
55.33, 22

=====

Li2HgB2Pd5: computed powder diffraction line list (λ = 1.5418 Å (Cu Kα)), based on the PBE geometry in Alexandria.

Structure:
```
Li2HgB2Pd5
1.0
9.873 0.000 0.000
0.000 9.873 0.000
0.000 0.000 2.974
Li Hg B Pd
4 2 4 10
direct
0.177 0.323 0.000
0.323 0.823 0.000
0.677 0.177 0.000
0.823 0.677 0.000
0.000 0.000 0.000
0.500 0.500 0.000
0.123 0.623 0.000
0.377 0.123 0.000
0.623 0.877 0.000
0.877 0.377 0.000
0.000 0.500 0.500
0.071 0.771 0.500
0.229 0.071 0.500
0.271 0.571 0.500
0.429 0.271 0.500
0.500 0.000 0.500
0.571 0.729 0.500
0.729 0.429 0.500
0.771 0.929 0.500
0.929 0.229 0.500
```

Peak list (10 most intense, 2θ from 5° to 70°, by angle)
2θ (°), Rel. int.
12.68, 47
17.97, 73
20.11, 50
32.72, 65
36.41, 64
37.56, 32
39.82, 49
40.88, 79
41.96, 100
45.00, 26

=====

Tb3SbO7: computed powder diffraction line list (λ = 1.5418 Å (Cu Kα)), based on the PBE geometry in Alexandria.

Structure:
```
Tb3SbO7
1.0
6.452 0.000 0.000
0.901 6.442 0.000
0.029 2.213 7.276
Tb Sb O
6 2 14
direct
0.041 0.005 0.249
0.236 0.535 0.617
0.237 0.529 0.113
0.763 0.471 0.887
0.764 0.465 0.383
0.959 0.995 0.751
0.500 0.000 0.000
0.500 0.000 0.500
0.047 0.638 0.844
0.059 0.647 0.334
0.209 0.932 0.547
0.211 0.934 0.985
0.400 0.069 0.232
0.425 0.320 0.455
0.429 0.331 0.888
0.571 0.669 0.112
0.575 0.680 0.545
0.600 0.931 0.768
0.789 0.066 0.015
0.791 0.068 0.453
0.941 0.353 0.666
0.953 0.362 0.156
```

Peak list (10 most intense, 2θ from 5° to 70°, by angle)
2θ (°), Rel. int.
28.70, 100
28.86, 99
28.97, 97
29.61, 92
33.41, 42
33.77, 90
47.71, 27
47.84, 35
47.94, 28
48.57, 27

=====

KCuPbCl6: computed powder diffraction line list (λ = 1.5418 Å (Cu Kα)), based on the PBE geometry in Alexandria.

Structure:
```
KCuPbCl6
1.0
6.669 0.000 0.000
-2.629 6.143 0.000
-0.481 -0.715 6.833
K Cu Pb Cl
1 1 1 6
direct
0.000 0.000 0.000
0.310 0.691 0.499
0.658 0.342 0.499
0.335 0.432 0.279
0.339 0.009 0.676
0.570 0.665 0.719
0.607 0.020 0.232
0.981 0.392 0.767
0.990 0.661 0.323
```

Peak list (10 most intense, 2θ from 5° to 70°, by angle)
2θ (°), Rel. int.
12.96, 100
14.51, 47
15.90, 27
18.45, 50
20.54, 96
26.22, 44
30.68, 63
33.62, 28
38.94, 38
44.53, 28

=====

IrCl3: computed powder diffraction line list (λ = 1.5418 Å (Cu Kα)), based on the PBE geometry in Alexandria.

Structure:
```
IrCl3
1.0
6.145 0.000 0.000
0.000 10.640 0.000
-1.949 0.000 6.373
Ir Cl
4 12
direct
0.000 0.167 0.000
0.000 0.833 0.000
0.500 0.333 0.000
0.500 0.667 0.000
0.210 0.000 0.203
0.242 0.323 0.203
0.242 0.677 0.203
0.258 0.177 0.797
0.258 0.823 0.797
0.290 0.500 0.797
0.710 0.500 0.203
0.742 0.177 0.203
0.742 0.823 0.203
0.758 0.323 0.797
0.758 0.677 0.797
0.790 0.000 0.797
```

Peak list (10 most intense, 2θ from 5° to 70°, by angle)
2θ (°), Rel. int.
13.90, 100
16.66, 14
17.24, 26
19.20, 19
21.76, 14
29.41, 21
34.59, 37
34.95, 21
44.20, 15
51.52, 18

=====

Ce7Sn3Sb: computed powder diffraction line list (λ = 1.5418 Å (Cu Kα)), based on the PBE geometry in Alexandria.

Structure:
```
Ce7Sn3Sb
1.0
-3.033 4.596 6.029
3.033 -4.596 6.029
3.033 4.596 -6.029
Ce Sn Sb
7 3 1
direct
0.000 0.000 0.000
0.110 0.755 0.355
0.350 0.500 0.850
0.400 0.755 0.645
0.600 0.245 0.355
0.650 0.500 0.150
0.890 0.245 0.645
0.261 0.261 0.000
0.500 0.000 0.500
0.739 0.739 0.000
0.000 0.500 0.500
```

Peak list (10 most intense, 2θ from 5° to 70°, by angle)
2θ (°), Rel. int.
19.31, 15
29.45, 73
29.63, 70
36.06, 100
42.27, 54
56.64, 27
56.85, 26
68.68, 18
69.38, 14
69.66, 13

=====

Tb3Ho4Tm3: computed powder diffraction line list (λ = 1.5418 Å (Cu Kα)), based on the PBE geometry in Alexandria.

Structure:
```
Tb3Ho4Tm3
1.0
3.658 0.000 0.000
0.000 6.523 6.533
0.000 -6.523 6.533
Tb Ho Tm
3 4 3
direct
0.000 0.000 0.000
0.000 0.499 0.844
0.000 0.844 0.499
0.500 0.046 0.299
0.500 0.299 0.046
0.500 0.544 0.544
0.500 0.799 0.799
0.000 0.344 0.344
0.500 0.173 0.669
0.500 0.669 0.173
```

Peak list (10 most intense, 2θ from 5° to 70°, by angle)
2θ (°), Rel. int.
27.32, 13
30.62, 64
31.20, 30
32.71, 100
35.04, 12
47.62, 12
49.86, 12
56.73, 17
59.55, 17
59.65, 19